Record 1
The following is a theoretical powder diffractogram of TiPO4F. It was derived from the PBE geometry in the Materials Project, using Cu Ka.
Lines closer than 0.1° are merged.

Structure:
Unit cell a=5.246 b=5.247 c=7.451 alpha=107.04 beta=109.40 gamma=95.77
Space group P-1 (No. 2)
One atom of each set of equivalent atoms:
Ti1 0.000 0.000 0.000 (multiplicity 1)
Ti2 0.500 0.500 0.500 (multiplicity 1)
P1 0.118 0.430 0.762 (multiplicity 2)
O1 0.141 0.259 0.901 (multiplicity 2)
O2 0.184 0.647 0.395 (multiplicity 2)
O3 0.190 0.738 0.888 (multiplicity 2)
O4 0.321 0.368 0.655 (multiplicity 2)
F1 0.319 0.159 0.263 (multiplicity 2)

Principal peaks in the range 2θ = 10–90°, by angle:
d 4.887, 2θ 18.15, intensity 100.0, (0 1 0)
d 4.817, 2θ 18.42, intensity 85.3, (0 1 -1)
d 3.890, 2θ 22.86, intensity 30.8, (1 -1 0)
d 3.400, 2θ 26.21, intensity 93.7, (0 1 1)
d 3.336, 2θ 26.72, intensity 86.0, (1 0 1)
d 3.307, 2θ 26.96, intensity 28.9, (1 -1 1)
d 3.095, 2θ 28.85, intensity 88.1, (1 1 -2)
d 2.404, 2θ 37.41, intensity 24.0, (-2 1 1)

=====

Record 2
The following is a theoretical powder diffractogram of Zn2P2O11F2. It was derived from the PBE geometry in the Materials Project, using Cu Ka.
Lines closer than 0.1° are merged.

Structure:
Unit cell a=7.579 b=8.374 c=9.677 alpha=85.18 beta=81.66 gamma=88.08
Space group P-1 (No. 2)
One atom of each set of equivalent atoms:
Zn1 0.000 0.000 0.000 (multiplicity 1)
Zn2 0.000 0.494 0.754 (multiplicity 2)
Zn3 0.500 0.500 0.500 (multiplicity 1)
P1 0.147 0.299 0.496 (multiplicity 2)
P2 0.218 0.653 0.963 (multiplicity 2)
O1 0.021 0.328 0.388 (multiplicity 2)
O2 0.067 0.303 0.649 (multiplicity 2)
O3 0.101 0.806 0.943 (multiplicity 2)
O4 0.201 0.540 0.850 (multiplicity 2)
O5 0.202 0.578 0.112 (multiplicity 2)
O6 0.274 0.042 0.042 (multiplicity 2)
O7 0.295 0.072 0.171 (multiplicity 2)
O8 0.315 0.402 0.450 (multiplicity 2)
O9 0.336 0.820 0.465 (multiplicity 2)
O10 0.409 0.750 0.363 (multiplicity 2)
O11 0.442 0.028 0.209 (multiplicity 2)
F1 0.218 0.120 0.485 (multiplicity 2)
F2 0.418 0.710 0.931 (multiplicity 2)

Principal peaks in the range 2θ = 10–90°, by angle:
d 8.343, 2θ 10.60, intensity 100.0, (0 1 0)
d 7.497, 2θ 11.80, intensity 78.9, (1 0 0)
d 4.888, 2θ 18.15, intensity 49.2, (1 -1 1)
d 4.772, 2θ 18.59, intensity 57.8, (0 0 2)
d 3.972, 2θ 22.38, intensity 57.3, (1 1 2)
d 3.520, 2θ 25.31, intensity 80.6, (-1 1 2)
d 3.427, 2θ 26.00, intensity 70.0, (2 1 1)
d 3.378, 2θ 26.38, intensity 94.1, (-1 2 1)

=====

Record 3
The following is a theoretical powder diffractogram of Pr6S3O2F8. It was derived from the PBE geometry in the Materials Project, using Cu Ka.
Lines closer than 0.1° are merged.

Structure:
Unit cell a=13.717 b=3.919 c=13.817 alpha=90.00 beta=119.71 gamma=90.00
Space group Pm (No. 6)
One atom of each set of equivalent atoms:
Pr1 0.000 0.000 0.000 (multiplicity 1)
Pr2 0.045 0.500 0.763 (multiplicity 1)
Pr3 0.139 0.500 0.520 (multiplicity 1)
Pr4 0.229 0.500 0.294 (multiplicity 1)
Pr5 0.337 0.000 0.829 (multiplicity 1)
Pr6 0.420 0.000 0.580 (multiplicity 1)
Pr7 0.518 0.000 0.343 (multiplicity 1)
Pr8 0.574 0.500 0.110 (multiplicity 1)
Pr9 0.670 0.000 0.917 (multiplicity 1)
Pr10 0.755 0.000 0.659 (multiplicity 1)
Pr11 0.807 0.500 0.454 (multiplicity 1)
Pr12 0.884 0.500 0.196 (multiplicity 1)
S1 0.010 0.000 0.585 (multiplicity 1)
S2 0.084 0.000 0.334 (multiplicity 1)
S3 0.469 0.500 0.775 (multiplicity 1)
S4 0.558 0.500 0.525 (multiplicity 1)
S5 0.754 0.000 0.246 (multiplicity 1)
S6 0.816 0.500 0.873 (multiplicity 1)
O1 0.299 0.500 0.491 (multiplicity 1)
O2 0.698 0.500 0.035 (multiplicity 1)
O3 0.715 0.000 0.469 (multiplicity 1)
O4 0.850 0.500 0.645 (multiplicity 1)
F1 0.030 0.500 0.127 (multiplicity 1)
F2 0.082 0.500 0.959 (multiplicity 1)
F3 0.176 0.000 0.853 (multiplicity 1)
F4 0.184 0.000 0.164 (multiplicity 1)
F5 0.214 0.500 0.734 (multiplicity 1)
F6 0.260 0.000 0.623 (multiplicity 1)
F7 0.352 0.000 0.374 (multiplicity 1)
F8 0.378 0.500 0.952 (multiplicity 1)
F9 0.388 0.500 0.260 (multiplicity 1)
F10 0.488 0.000 0.152 (multiplicity 1)
F11 0.529 0.000 0.984 (multiplicity 1)
F12 0.603 0.500 0.302 (multiplicity 1)
F13 0.616 0.000 0.723 (multiplicity 1)
F14 0.872 0.000 0.080 (multiplicity 1)
F15 0.944 0.500 0.390 (multiplicity 1)
F16 0.965 0.000 0.809 (multiplicity 1)

Principal peaks in the range 2θ = 10–90°, by angle:
d 3.723, 2θ 23.90, intensity 82.0, (0 1 1)
d 3.326, 2θ 26.81, intensity 89.9, (1 0 -4)
d 3.312, 2θ 26.92, intensity 90.3, (3 0 1)
d 3.296, 2θ 27.05, intensity 82.8, (4 0 -3)
d 2.962, 2θ 30.17, intensity 100.0, (1 1 -3)
d 2.789, 2θ 32.10, intensity 71.5, (3 1 -3)
d 1.959, 2θ 46.34, intensity 62.0, (0 2 0)
d 1.687, 2θ 54.37, intensity 53.7, (3 2 1)

=====

Record 4
The following is a theoretical powder diffractogram of Pr5Si2Se3O17F. It was derived from the PBE geometry in the Materials Project, using Cu Ka.
Lines closer than 0.1° are merged.

Structure:
Unit cell a=7.107 b=9.961 c=13.047 alpha=70.58 beta=76.91 gamma=69.40
Space group P-1 (No. 2)
One atom of each set of equivalent atoms:
Pr1 0.096 0.137 0.396 (multiplicity 2)
Pr2 0.298 0.975 0.734 (multiplicity 2)
Pr3 0.300 0.418 0.623 (multiplicity 2)
Pr4 0.310 0.920 0.144 (multiplicity 2)
Pr5 0.351 0.471 0.260 (multiplicity 2)
Si1 0.118 0.722 0.384 (multiplicity 2)
Si2 0.479 0.793 0.529 (multiplicity 2)
Se1 0.085 0.628 0.838 (multiplicity 2)
Se2 0.087 0.226 0.891 (multiplicity 2)
Se3 0.465 0.294 0.026 (multiplicity 2)
O1 0.019 0.904 0.345 (multiplicity 2)
O2 0.024 0.085 0.870 (multiplicity 2)
O3 0.029 0.625 0.334 (multiplicity 2)
O4 0.091 0.662 0.519 (multiplicity 2)
O5 0.092 0.805 0.760 (multiplicity 2)
O6 0.097 0.379 0.228 (multiplicity 2)
O7 0.142 0.160 0.023 (multiplicity 2)
O8 0.246 0.906 0.526 (multiplicity 2)
O9 0.296 0.516 0.779 (multiplicity 2)
O10 0.326 0.195 0.811 (multiplicity 2)
O11 0.354 0.690 0.318 (multiplicity 2)
O12 0.358 0.672 0.089 (multiplicity 2)
O13 0.378 0.171 0.588 (multiplicity 2)
O14 0.427 0.198 0.369 (multiplicity 2)
O15 0.439 0.691 0.870 (multiplicity 2)
O16 0.453 0.898 0.951 (multiplicity 2)
O17 0.489 0.389 0.442 (multiplicity 2)
F1 0.347 0.046 0.257 (multiplicity 2)

Principal peaks in the range 2θ = 10–90°, by angle:
d 3.549, 2θ 25.09, intensity 33.3, (2 1 1)
d 3.212, 2θ 27.78, intensity 95.6, (0 2 -2)
d 3.163, 2θ 28.22, intensity 73.0, (-1 1 3)
d 3.148, 2θ 28.35, intensity 76.3, (2 2 0)
d 3.070, 2θ 29.09, intensity 100.0, (2 0 2)
d 3.014, 2θ 29.64, intensity 81.3, (1 3 3)
d 1.993, 2θ 45.52, intensity 26.1, (3 0 -2)
d 1.954, 2θ 46.47, intensity 29.9, (1 5 1)

=====

Record 5
The following is a theoretical powder diffractogram of Pt4O9F24. It was derived from the PBE geometry in the Materials Project, using Cu Ka.
Lines closer than 0.1° are merged.

Structure:
Unit cell a=9.323 b=9.358 c=9.461 alpha=112.27 beta=108.53 gamma=104.02
Space group P1 (No. 1)
One atom of each set of equivalent atoms:
Pt1 0.000 0.000 0.000 (multiplicity 1)
Pt2 0.003 0.517 0.488 (multiplicity 1)
Pt3 0.439 0.982 0.453 (multiplicity 1)
Pt4 0.481 0.497 0.973 (multiplicity 1)
O1 0.045 0.618 0.025 (multiplicity 1)
O2 0.361 0.888 0.699 (multiplicity 1)
O3 0.457 0.511 0.424 (multiplicity 1)
O4 0.514 0.501 0.551 (multiplicity 1)
O5 0.634 0.217 0.531 (multiplicity 1)
O6 0.704 0.206 0.439 (multiplicity 1)
O7 0.753 0.860 0.270 (multiplicity 1)
O8 0.759 0.110 0.738 (multiplicity 1)
O9 0.990 0.498 0.040 (multiplicity 1)
F1 0.030 0.061 0.837 (multiplicity 1)
F2 0.053 0.754 0.569 (multiplicity 1)
F3 0.058 0.552 0.714 (multiplicity 1)
F4 0.139 0.227 0.181 (multiplicity 1)
F5 0.188 0.946 0.026 (multiplicity 1)
F6 0.228 0.565 0.533 (multiplicity 1)
F7 0.233 0.790 0.348 (multiplicity 1)
F8 0.300 0.330 0.753 (multiplicity 1)
F9 0.321 0.119 0.415 (multiplicity 1)
F10 0.326 0.539 0.058 (multiplicity 1)
F11 0.402 0.032 0.678 (multiplicity 1)
F12 0.466 0.923 0.249 (multiplicity 1)
F13 0.476 0.325 0.036 (multiplicity 1)
F14 0.492 0.671 0.914 (multiplicity 1)
F15 0.558 0.847 0.500 (multiplicity 1)
F16 0.637 0.452 0.890 (multiplicity 1)
F17 0.695 0.691 0.231 (multiplicity 1)
F18 0.776 0.472 0.448 (multiplicity 1)
F19 0.810 0.055 0.972 (multiplicity 1)
F20 0.854 0.776 0.816 (multiplicity 1)
F21 0.886 0.238 0.761 (multiplicity 1)
F22 0.929 0.473 0.257 (multiplicity 1)
F23 0.960 0.282 0.407 (multiplicity 1)
F24 0.972 0.930 0.160 (multiplicity 1)

Principal peaks in the range 2θ = 10–90°, by angle:
d 5.742, 2θ 15.43, intensity 100.0, (1 1 -1)
d 5.473, 2θ 16.19, intensity 94.0, (1 -1 1)
d 5.230, 2θ 16.95, intensity 90.1, (-1 1 1)
d 4.024, 2θ 22.09, intensity 39.0, (2 0 0)
d 3.942, 2θ 22.55, intensity 40.4, (0 2 0)
d 3.899, 2θ 22.81, intensity 75.2, (0 2 -2)
d 3.795, 2θ 23.44, intensity 38.6, (2 0 -2)
d 3.677, 2θ 24.20, intensity 36.5, (2 -2 0)

=====

Record 6
The following is a theoretical powder diffractogram of PuOF. It was derived from the PBE geometry in the Materials Project, using Cu Ka.
Lines closer than 0.1° are merged.

Structure:
Unit cell a=5.618 b=5.618 c=5.618 alpha=90.00 beta=90.00 gamma=90.00
Space group F-43m (No. 216)
One atom of each set of equivalent atoms:
Pu1 0.000 0.000 0.000 (multiplicity 4)
O1 0.250 0.250 0.750 (multiplicity 4)
F1 0.250 0.250 0.250 (multiplicity 4)

Principal peaks in the range 2θ = 10–90°, by angle:
d 3.243, 2θ 27.50, intensity 100.0, (1 1 1)
d 2.809, 2θ 31.86, intensity 36.4, (2 0 0)
d 1.986, 2θ 45.68, intensity 51.2, (2 2 0)
d 1.694, 2θ 54.15, intensity 48.2, (3 1 1)
d 1.622, 2θ 56.77, intensity 10.6, (2 2 2)
d 1.289, 2θ 73.48, intensity 19.9, (3 3 1)
d 1.256, 2θ 75.72, intensity 14.6, (4 2 0)
d 1.147, 2θ 84.49, intensity 17.2, (4 2 2)

=====

Record 7
The following is a theoretical powder diffractogram of PuOF. It was derived from the PBE geometry in the Materials Project, using Cu Ka.
Lines closer than 0.1° are merged.

Structure:
Unit cell a=3.967 b=3.967 c=5.734 alpha=90.00 beta=90.00 gamma=90.00
Space group P4/nmm (No. 129, origin choice 2)
One atom of each set of equivalent atoms:
Pu1 0.250 0.250 0.211 (multiplicity 2)
O1 0.250 0.750 0.000 (multiplicity 2)
F1 0.250 0.750 0.500 (multiplicity 2)

Principal peaks in the range 2θ = 10–90°, by angle:
d 3.262, 2θ 27.34, intensity 100.0, (1 0 1)
d 2.867, 2θ 31.19, intensity 9.8, (0 0 2)
d 2.805, 2θ 31.90, intensity 25.4, (1 1 0)
d 2.324, 2θ 38.75, intensity 9.8, (1 0 2)
d 2.005, 2θ 45.22, intensity 29.5, (1 1 2)
d 1.983, 2θ 45.74, intensity 17.8, (2 0 0)
d 1.722, 2θ 53.19, intensity 9.6, (1 0 3)
d 1.695, 2θ 54.11, intensity 31.7, (2 1 1)

=====

Record 8
The following is a theoretical powder diffractogram of Pu2OF. It was derived from the PBE geometry in the Materials Project, using Cu Ka.
Lines closer than 0.1° are merged.

Structure:
Unit cell a=3.470 b=3.484 c=8.729 alpha=90.00 beta=90.00 gamma=90.00
Space group Pmmm (No. 47)
One atom of each set of equivalent atoms:
Pu1 0.000 0.000 0.236 (multiplicity 2)
O1 0.000 0.000 0.000 (multiplicity 1)
F1 0.000 0.000 0.500 (multiplicity 1)

Principal peaks in the range 2θ = 10–90°, by angle:
d 4.364, 2θ 20.35, intensity 80.0, (0 0 2)
d 3.484, 2θ 25.57, intensity 67.9, (0 1 0)
d 3.470, 2θ 25.67, intensity 67.2, (1 0 0)
d 2.719, 2θ 32.94, intensity 100.0, (1 0 2)
d 2.459, 2θ 36.55, intensity 54.1, (1 1 0)
d 2.142, 2θ 42.19, intensity 52.3, (1 1 2)
d 1.848, 2θ 49.30, intensity 41.1, (1 0 4)
d 1.632, 2θ 56.38, intensity 27.6, (1 1 4)